Structure and calculated XRD peak list of Ac6Pm3Ho2 (a PBE-relaxed structure; a wavelength of 1.5418 Å).

Structure:
abc: 6.6021 8.5230 8.5376
angles: 107.17 97.45 104.92
Space group P-1 (No. 2)
Unique sites:
Ac1 0.0545 0.1810 0.4034 [2 per cell]
Ac2 0.1363 0.5494 0.2323 [2 per cell]
Ac3 0.3218 0.2652 0.8699 [2 per cell]
Pm1 0.4068 0.6444 0.6857 [2 per cell]
Pm2 0.5000 0.0000 0.5000 [1 per cell]
Ho1 0.2327 0.9137 0.0467 [2 per cell]

Top 6 peaks for 10 to 80 degrees two-theta, sorted by position:
index	d [Å]	Rel. int.
0 1 2	3.127	34
1 2 -1	3.112	100
2 0 1	2.699	68
1 3 1	1.912	25
3 1 -2	1.905	25
3 2 0	1.627	35